[1]
For Cu4Os6O19, a PBE-relaxed structure gives the simulated powder diffractogram in this record (Cu Kα (weighted mean of Kα1 and Kα2)).
Kinematic intensities with the Lorentz-polarization factor, no thermal factor.

Most intense lines, 2θ = 15–90°, low angle first:
d/Å, Rel. int.
4.545, 85
2.874, 100
2.429, 71
1.855, 12
1.783, 80
1.660, 12
1.515, 25
1.403, 17
1.340, 12
1.154, 15

Atomic structure:
a b c (Å): 7.872 7.872 7.872
angles (deg): 109.47 109.47 109.47
Positions (direct):
Cu (0.000, 0.000, 0.756)
Cu (0.000, 0.756, 0.000)
Cu (0.244, 0.244, 0.244)
Cu (0.756, 0.000, 0.000)
Os (0.139, 0.639, 0.500)
Os (0.361, 0.500, 0.861)
Os (0.500, 0.139, 0.639)
Os (0.500, 0.861, 0.361)
Os (0.639, 0.500, 0.139)
Os (0.861, 0.361, 0.500)
O (0.000, 0.000, 0.000)
O (0.000, 0.328, 0.328)
O (0.000, 0.672, 0.672)
O (0.063, 0.345, 0.702)
O (0.282, 0.937, 0.639)
O (0.298, 0.643, 0.361)
O (0.328, 0.000, 0.328)
O (0.328, 0.328, 0.000)
O (0.345, 0.702, 0.063)
O (0.357, 0.655, 0.718)
O (0.361, 0.298, 0.643)
O (0.639, 0.282, 0.937)
O (0.643, 0.361, 0.298)
O (0.655, 0.718, 0.357)
O (0.672, 0.000, 0.672)
O (0.672, 0.672, 0.000)
O (0.702, 0.063, 0.345)
O (0.718, 0.357, 0.655)
O (0.937, 0.639, 0.282)

***

[2]
For CuOs2PbO8, a PBE-relaxed structure gives the simulated powder diffractogram in this record (Cu Kα (weighted mean of Kα1 and Kα2)).
Kinematic intensities with the Lorentz-polarization factor, no thermal factor.

Most intense lines, 2θ = 15–90°, low angle first:
d/Å, Rel. int.
4.062, 100
2.922, 72
2.825, 56
2.071, 19
2.031, 29
1.842, 24
1.688, 21
1.668, 26
1.471, 18
1.462, 25

Atomic structure:
a b c (Å): 5.844 5.844 6.810
angles (deg): 90.00 90.00 120.00
Positions (direct):
Cu (0.000, 0.000, 0.000)
Os (0.333, 0.667, 0.260)
Os (0.667, 0.333, 0.740)
Pb (0.000, 0.000, 0.500)
O (0.160, 0.320, 0.200)
O (0.160, 0.840, 0.200)
O (0.320, 0.160, 0.800)
O (0.333, 0.667, 0.522)
O (0.667, 0.333, 0.478)
O (0.680, 0.840, 0.200)
O (0.840, 0.160, 0.800)
O (0.840, 0.680, 0.800)

***

[3]
For PuCuOsO6, a PBE-relaxed structure gives the simulated powder diffractogram in this record (Cu Kα (weighted mean of Kα1 and Kα2)).
Kinematic intensities with the Lorentz-polarization factor, no thermal factor.

Most intense lines, 2θ = 15–90°, low angle first:
d/Å, Rel. int.
4.537, 92
3.210, 100
2.626, 73
2.272, 69
2.033, 28
1.715, 60
1.607, 31
1.516, 23
1.438, 16
1.136, 15

Atomic structure:
a b c (Å): 5.253 5.253 9.061
angles (deg): 90.00 90.00 120.00
Positions (direct):
Pu (0.333, 0.667, 0.250)
Pu (0.667, 0.333, 0.750)
Cu (0.000, 0.000, 0.000)
Cu (0.000, 0.000, 0.500)
Os (0.333, 0.667, 0.750)
Os (0.667, 0.333, 0.250)
O (0.023, 0.354, 0.629)
O (0.023, 0.669, 0.871)
O (0.331, 0.354, 0.871)
O (0.331, 0.977, 0.629)
O (0.354, 0.023, 0.129)
O (0.354, 0.331, 0.371)
O (0.646, 0.669, 0.629)
O (0.646, 0.977, 0.871)
O (0.669, 0.023, 0.371)
O (0.669, 0.646, 0.129)
O (0.977, 0.331, 0.129)
O (0.977, 0.646, 0.371)

***

[4]
For Rb2CuOsO6, a PBE-relaxed structure gives the simulated powder diffractogram in this record (Cu Kα (weighted mean of Kα1 and Kα2)).
Kinematic intensities with the Lorentz-polarization factor, no thermal factor.

Most intense lines, 2θ = 15–90°, low angle first:
d/Å, Rel. int.
5.352, 100
3.704, 68
3.090, 100
2.373, 39
2.313, 54
1.852, 40
1.784, 19
1.588, 43
1.545, 18
1.285, 18

Atomic structure:
a b c (Å): 6.180 6.180 5.130
angles (deg): 90.00 90.00 120.00
Positions (direct):
Rb (0.333, 0.667, 0.272)
Rb (0.667, 0.333, 0.728)
Cu (0.000, 0.000, 0.500)
Os (0.000, 0.000, 0.000)
O (0.142, 0.283, 0.779)
O (0.142, 0.858, 0.779)
O (0.283, 0.142, 0.221)
O (0.717, 0.858, 0.779)
O (0.858, 0.142, 0.221)
O (0.858, 0.717, 0.221)

***

[5]
For Tl2CuOsO6, a PBE-relaxed structure gives the simulated powder diffractogram in this record (Cu Kα (weighted mean of Kα1 and Kα2)).
Kinematic intensities with the Lorentz-polarization factor, no thermal factor.

Most intense lines, 2θ = 15–90°, low angle first:
d/Å, Rel. int.
3.672, 95
3.021, 100
2.333, 47
2.312, 45
1.846, 26
1.836, 31
1.744, 20
1.569, 32
1.511, 17
1.265, 14

Atomic structure:
a b c (Å): 6.042 6.042 5.154
angles (deg): 90.00 90.00 120.00
Positions (direct):
Tl (0.333, 0.667, 0.234)
Tl (0.667, 0.333, 0.766)
Cu (0.000, 0.000, 0.500)
Os (0.000, 0.000, 0.000)
O (0.145, 0.291, 0.781)
O (0.145, 0.855, 0.781)
O (0.291, 0.145, 0.219)
O (0.709, 0.855, 0.781)
O (0.855, 0.145, 0.219)
O (0.855, 0.709, 0.219)

***

[6]
For Cu2P2O7, a PBE-relaxed structure gives the simulated powder diffractogram in this record (Cu Kα (weighted mean of Kα1 and Kα2)).
Kinematic intensities with the Lorentz-polarization factor, no thermal factor.

Most intense lines, 2θ = 15–90°, low angle first:
d/Å, Rel. int.
4.352, 14
3.271, 100
2.989, 77
2.946, 37
2.585, 19
2.535, 22
2.070, 17
1.957, 20
1.635, 14
1.549, 20

Atomic structure:
a b c (Å): 5.442 5.442 4.667
angles (deg): 103.68 103.68 98.20
Positions (direct):
Cu (0.188, 0.812, 0.000)
Cu (0.812, 0.188, 0.000)
P (0.305, 0.305, 0.590)
P (0.695, 0.695, 0.410)
O (0.123, 0.123, 0.278)
O (0.148, 0.457, 0.768)
O (0.457, 0.148, 0.768)
O (0.500, 0.500, 0.500)
O (0.543, 0.852, 0.232)
O (0.852, 0.543, 0.232)
O (0.877, 0.877, 0.722)

***

[7]
For Cu3P4O14, a PBE-relaxed structure gives the simulated powder diffractogram in this record (Cu Kα (weighted mean of Kα1 and Kα2)).
Kinematic intensities with the Lorentz-polarization factor, no thermal factor.

Most intense lines, 2θ = 15–90°, low angle first:
d/Å, Rel. int.
5.823, 26
3.575, 29
3.374, 42
3.263, 100
3.144, 21
3.114, 33
2.856, 48
2.678, 27
2.412, 16
1.755, 17

Atomic structure:
a b c (Å): 4.686 7.154 8.253
angles (deg): 73.53 75.45 76.18
Positions (direct):
Cu (0.000, 0.000, 0.000)
Cu (0.031, 0.740, 0.465)
Cu (0.969, 0.260, 0.535)
P (0.348, 0.335, 0.776)
P (0.409, 0.760, 0.717)
P (0.591, 0.240, 0.283)
P (0.652, 0.665, 0.224)
O (0.177, 0.226, 0.945)
O (0.211, 0.382, 0.614)
O (0.247, 0.273, 0.327)
O (0.258, 0.853, 0.560)
O (0.317, 0.548, 0.815)
O (0.317, 0.761, 0.256)
O (0.321, 0.890, 0.846)
O (0.679, 0.110, 0.154)
O (0.683, 0.239, 0.744)
O (0.683, 0.452, 0.185)
O (0.742, 0.147, 0.440)
O (0.753, 0.727, 0.673)
O (0.789, 0.618, 0.386)
O (0.823, 0.774, 0.055)

***

[8]
For Cu4P2O9, a PBE-relaxed structure gives the simulated powder diffractogram in this record (Cu Kα (weighted mean of Kα1 and Kα2)).
Kinematic intensities with the Lorentz-polarization factor, no thermal factor.

Most intense lines, 2θ = 15–90°, low angle first:
d/Å, Rel. int.
5.224, 58
3.402, 100
3.140, 77
2.892, 90
2.818, 51
2.726, 92
2.666, 69
2.488, 82
1.849, 66
1.421, 47

Atomic structure:
a b c (Å): 8.155 6.391 13.608
angles (deg): 90.00 90.00 90.00
Positions (direct):
Cu (0.062, 0.250, 0.089)
Cu (0.144, 0.750, 0.449)
Cu (0.149, 0.008, 0.658)
Cu (0.149, 0.492, 0.658)
Cu (0.351, 0.508, 0.158)
Cu (0.351, 0.992, 0.158)
Cu (0.356, 0.250, 0.949)
Cu (0.438, 0.750, 0.589)
Cu (0.562, 0.250, 0.411)
Cu (0.644, 0.750, 0.051)
Cu (0.649, 0.008, 0.842)
Cu (0.649, 0.492, 0.842)
Cu (0.851, 0.508, 0.342)
Cu (0.851, 0.992, 0.342)
Cu (0.856, 0.250, 0.551)
Cu (0.938, 0.750, 0.911)
P (0.002, 0.750, 0.156)
P (0.149, 0.250, 0.414)
P (0.351, 0.750, 0.914)
P (0.498, 0.250, 0.656)
P (0.502, 0.750, 0.344)
P (0.649, 0.250, 0.086)
P (0.851, 0.750, 0.586)
P (0.998, 0.250, 0.844)
O (0.084, 0.047, 0.362)
O (0.084, 0.453, 0.362)
O (0.091, 0.250, 0.523)
O (0.099, 0.250, 0.745)
O (0.111, 0.551, 0.151)
O (0.111, 0.949, 0.151)
O (0.120, 0.250, 0.931)
O (0.166, 0.750, 0.906)
O (0.203, 0.750, 0.595)
O (0.297, 0.250, 0.095)
O (0.334, 0.250, 0.406)
O (0.380, 0.750, 0.431)
O (0.389, 0.051, 0.651)
O (0.389, 0.449, 0.651)
O (0.401, 0.750, 0.245)
O (0.409, 0.750, 0.023)
O (0.416, 0.547, 0.862)
O (0.416, 0.953, 0.862)
O (0.584, 0.047, 0.138)
O (0.584, 0.453, 0.138)
O (0.591, 0.250, 0.977)
O (0.599, 0.250, 0.755)
O (0.611, 0.551, 0.349)
O (0.611, 0.949, 0.349)
O (0.620, 0.250, 0.569)
O (0.666, 0.750, 0.594)
O (0.703, 0.750, 0.905)
O (0.797, 0.250, 0.405)
O (0.834, 0.250, 0.094)
O (0.880, 0.750, 0.069)
O (0.889, 0.051, 0.849)
O (0.889, 0.449, 0.849)
O (0.901, 0.750, 0.255)
O (0.909, 0.750, 0.477)
O (0.916, 0.547, 0.638)
O (0.916, 0.953, 0.638)